No. 1
Calculated powder X-ray diffraction pattern of Sr2LiBi4Rh3 for Cu Ka, from DFT lattice parameters and positions (GGA-PBE).

Principal peaks in the range 2θ from 10° to 90°, in order of falling intensity:
- 37.6°, rel. 100, (2 0 0)
- 31.0°, rel. 99, (1 1 2)
- 42.3°, rel. 79, (1 1 4)
- 30.7°, rel. 71, (1 0 3)
- 27.6°, rel. 49, (1 1 1)
- 20.2°, rel. 45, (1 0 1)
- 45.3°, rel. 45, (1 0 5)
- 49.3°, rel. 41, (2 1 3)
- 54.2°, rel. 36, (2 2 0)
- 71.1°, rel. 35, (3 1 4)
- 60.3°, rel. 32, (2 1 5)
- 63.8°, rel. 26, (3 1 2)

Crystal structure
Cell lengths 4.7850, 4.7850, 11.0111 Å; angles 90.00, 90.00, 90.00 degrees
Space group P-4m2 (No. 115)
Asymmetric unit:
Sr  0.0000  0.5000  0.2442 [2 per cell]
Li  0.5000  0.5000  0.0000 [1 per cell]
Bi  0.0000  0.0000  0.5000 [1 per cell]
Bi  0.0000  0.5000  0.8713 [2 per cell]
Bi  0.5000  0.5000  0.5000 [1 per cell]
Rh  0.0000  0.0000  0.0000 [1 per cell]
Rh  0.0000  0.5000  0.6260 [2 per cell]


No. 2
Calculated powder X-ray diffraction pattern of TmAl11Fe for Cu Ka, from DFT lattice parameters and positions (GGA-PBE).

Principal peaks in the range 2θ from 10° to 90°, in order of falling intensity:
- 40.7°, rel. 100, (2 2 -2)
- 39.4°, rel. 87, (0 4 2)
- 14.1°, rel. 84, (0 2 0)
- 20.0°, rel. 77, (1 1 -1)
- 39.9°, rel. 65, (2 2 0)
- 33.8°, rel. 62, (1 3 1)
- 28.5°, rel. 58, (1 3 -1)
- 27.0°, rel. 54, (1 1 1)
- 39.2°, rel. 52, (1 1 -3)
- 38.1°, rel. 45, (1 1 2)
- 40.5°, rel. 37, (1 5 0)
- 30.3°, rel. 37, (0 2 2)

Crystal structure
Cell lengths 5.1353, 12.5389, 7.0772 Å; angles 90.00, 109.20, 90.00 degrees
Space group C2/m (No. 12)
Asymmetric unit:
Tm  0.0000  0.0000  0.0000 [2 per cell]
Al  0.0000  0.0000  0.5000 [2 per cell]
Al  0.1064  0.3934  0.2284 [8 per cell]
Al  0.1929  0.1715  0.3616 [8 per cell]
Al  0.2500  0.2500  0.0000 [4 per cell]
Fe  0.0000  0.5000  0.5000 [2 per cell]


No. 3
Calculated powder X-ray diffraction pattern of ZrPa2SnN5 for Cu Ka, from DFT lattice parameters and positions (GGA-PBE).

Principal peaks in the range 2θ from 10° to 90°, in order of falling intensity:
- 30.1°, rel. 100, (0 4 2)
- 31.9°, rel. 71, (1 1 2)
- 32.6°, rel. 52, (1 3 0)
- 47.2°, rel. 40, (1 3 4)
- 33.3°, rel. 40, (0 0 4)
- 55.5°, rel. 32, (1 7 2)
- 16.5°, rel. 29, (0 0 2)
- 63.4°, rel. 26, (2 4 2)
- 36.7°, rel. 18, (1 3 2)
- 57.5°, rel. 17, (0 4 6)
- 54.4°, rel. 16, (2 0 0)
- 51.4°, rel. 13, (0 8 0)

Crystal structure
Cell lengths 3.3744, 14.2087, 10.7747 Å; angles 90.00, 90.00, 90.00 degrees
Space group Cmc2_1 (No. 36)
Asymmetric unit:
Zr  0.0000  0.2407  0.0000 [4 per cell]
Pa  0.0000  0.1303  0.7344 [4 per cell]
Pa  0.0000  0.1376  0.2550 [4 per cell]
Sn  0.0000  0.4927  0.4862 [4 per cell]
N  0.0000  0.0788  0.0464 [4 per cell]
N  0.0000  0.2783  0.6500 [4 per cell]
N  0.0000  0.2900  0.3585 [4 per cell]
N  0.0000  0.3809  0.0829 [4 per cell]
N  0.0000  0.4860  0.7924 [4 per cell]


No. 4
Calculated powder X-ray diffraction pattern of Li6Cd8Au for Cu Ka, from DFT lattice parameters and positions (GGA-PBE).

Principal peaks in the range 2θ from 10° to 90°, in order of falling intensity:
- 34.9°, rel. 100, (1 2 2)
- 33.1°, rel. 69, (0 1 5)
- 41.6°, rel. 68, (3 0 3)
- 28.1°, rel. 68, (1 1 3)
- 21.2°, rel. 42, (1 1 0)
- 39.7°, rel. 34, (2 0 5)
- 61.1°, rel. 32, (1 2 8)
- 55.4°, rel. 31, (3 1 5)
- 64.3°, rel. 27, (2 3 5)
- 25.2°, rel. 26, (0 2 1)
- 37.1°, rel. 26, (0 0 6)
- 43.1°, rel. 25, (2 2 0)

Crystal structure
Cell lengths 8.4003, 8.4003, 14.5575 Å; angles 90.00, 90.00, 120.00 degrees
Space group R-3m (No. 166, hexagonal axes)
Asymmetric unit:
Li  0.0000  0.3284  0.0000 [18 per cell]
Cd  0.0000  0.0000  0.3819 [6 per cell]
Cd  0.0860  0.5430  0.8348 [18 per cell]
Au  0.0000  0.0000  0.0000 [3 per cell]


No. 5
Calculated powder X-ray diffraction pattern of PaCuNi5 for Cu Ka, from DFT lattice parameters and positions (GGA-PBE).

Principal peaks in the range 2θ from 10° to 90°, in order of falling intensity:
- 40.3°, rel. 100, (3 1 1)
- 40.4°, rel. 99, (2 1 3)
- 38.2°, rel. 58, (1 0 4)
- 23.6°, rel. 52, (1 1 1)
- 37.8°, rel. 36, (0 2 0)
- 33.1°, rel. 36, (0 1 3)
- 47.5°, rel. 34, (1 0 5)
- 44.4°, rel. 33, (2 2 0)
- 42.1°, rel. 30, (0 2 2)
- 21.3°, rel. 21, (1 0 2)
- 74.8°, rel. 21, (5 2 2)
- 38.9°, rel. 21, (3 0 2)

Crystal structure
Cell lengths 7.8758, 4.7657, 9.8641 Å; angles 90.00, 90.00, 90.00 degrees
Space group Pnma (No. 62)
Asymmetric unit:
Pa  0.2473  0.2500  0.0618 [4 per cell]
Cu  0.1486  0.7500  0.8561 [4 per cell]
Ni  0.0439  0.7500  0.0897 [4 per cell]
Ni  0.0638  0.0060  0.3046 [8 per cell]
Ni  0.0958  0.2500  0.5170 [4 per cell]
Ni  0.1905  0.2500  0.7484 [4 per cell]


No. 6
Calculated powder X-ray diffraction pattern of La3Tm2 for Cu Ka, from DFT lattice parameters and positions (GGA-PBE).

Principal peaks in the range 2θ from 10° to 90°, in order of falling intensity:
- 31.8°, rel. 100, (1 1 -3)
- 32.0°, rel. 49, (2 2 -1)
- 30.6°, rel. 36, (4 0 -2)
- 27.8°, rel. 23, (1 1 2)
- 59.2°, rel. 22, (3 3 -4)
- 55.3°, rel. 20, (7 1 -1)
- 49.3°, rel. 19, (1 3 2)
- 59.7°, rel. 16, (0 2 5)
- 41.9°, rel. 16, (4 2 -2)
- 27.9°, rel. 12, (0 2 0)
- 55.1°, rel. 10, (5 1 -5)
- 49.0°, rel. 10, (2 0 4)

Crystal structure
Cell lengths 12.2358, 6.3849, 9.4670 Å; angles 90.00, 110.53, 90.00 degrees
Space group C2/c (No. 15)
Asymmetric unit:
La  0.0000  0.1740  0.2500 [4 per cell]
La  0.1952  0.1678  0.6500 [8 per cell]
Tm  0.1011  0.3362  0.9492 [8 per cell]